This entry pairs a crystal structure of Er3AlNi3 with its simulated powder diffraction line list. Radiation: λ = 1.5418 Å (Cu Kα). Structure: the PBE geometry in Alexandria.

Principal peaks in the range 2θ from 10° to 90°, by angle:
Position (°2θ)  d/Å  I_rel
27.3  3.263  68
31.4  2.848  93
32.9  2.725  57
35.0  2.561  81
36.4  2.468  100
40.9  2.208  96
41.5  2.178  41
42.1  2.149  47
44.5  2.036  54
59.2  1.561  29

Structural model:
```
Er3AlNi3
1.0
2.0356 -4.9409 0.0000
2.0356 4.9409 0.0000
0.0000 0.0000 13.0675
Er Al Ni
6 2 6
Cartesian
2.0356 4.8751 9.8006
2.0356 2.0829 7.9018
2.0356 2.0829 11.6995
2.0356 -2.0829 1.3680
2.0356 -2.0829 5.1657
2.0356 -4.8751 3.2669
0.0000 0.0000 0.0000
0.0000 0.0000 6.5338
2.0356 2.0934 3.2669
2.0356 0.7703 1.1687
2.0356 0.7703 5.3651
2.0356 -0.7703 7.7024
2.0356 -0.7703 11.8989
2.0356 -2.0934 9.8006
```

This entry pairs a crystal structure of Er7Al2Ni2 with its simulated powder diffraction line list. Radiation: λ = 1.5418 Å (Cu Kα). Structure: the PBE geometry in Alexandria.

Principal peaks in the range 2θ from 10° to 90°, by angle:
Position (°2θ)  d/Å  I_rel
26.3  3.387  24
28.4  3.141  100
30.0  2.981  40
33.1  2.706  52
35.3  2.545  20
38.3  2.351  36
39.1  2.303  77
47.1  1.929  19
56.3  1.634  20
62.3  1.491  23

Structural model:
```
Er7Al2Ni2
1.0
3.8574 -5.4111 0.0000
3.8574 5.4111 0.0000
0.0000 0.0000 6.7738
Er Al Ni
7 2 2
Cartesian
0.0000 0.0000 0.0000
1.9287 2.7056 1.7100
1.9287 2.7056 5.0638
1.9287 -2.7056 1.7100
1.9287 -2.7056 5.0638
3.8574 0.0000 1.6683
3.8574 0.0000 5.1056
1.2934 0.0000 3.3869
6.4213 0.0000 3.3869
3.8574 2.2257 0.0000
3.8574 -2.2257 0.0000
```

This entry pairs a crystal structure of Er3Al2Ni9 with its simulated powder diffraction line list. Radiation: λ = 1.5418 Å (Cu Kα). Structure: the PBE geometry in Alexandria.

Principal peaks in the range 2θ from 10° to 90°, by angle:
Position (°2θ)  d/Å  I_rel
24.7  3.598  23
31.6  2.836  61
36.1  2.487  49
38.0  2.369  100
38.4  2.345  40
38.7  2.325  100
41.6  2.172  25
43.6  2.076  28
45.8  1.980  49
74.0  1.281  38

Structural model:
```
Er3Al2Ni9
1.0
-1.9801 4.3086 6.0927
1.9801 -4.3086 6.0927
1.9801 4.3086 -6.0927
Er Al Ni
3 2 9
Cartesian
0.0000 0.0000 0.0000
0.0000 0.0000 3.6272
0.0000 0.0000 8.5582
1.9801 2.5226 0.0000
0.0000 1.7861 6.0927
1.9801 -1.2753 2.1544
1.9801 -1.9087 4.6389
1.9801 1.2753 2.1544
0.0000 2.4000 1.4538
0.0000 4.3086 0.0000
1.9801 1.9087 4.6389
0.0000 3.0334 3.9383
0.0000 6.2173 1.4538
0.0000 5.5839 3.9383
```